No. 1
Starting from a structure optimized by DFT (PBE), the powder XRD pattern of Tb6Sm3Er was computed for Cu Kα (λ = 1.5418 Å).
Peak positions follow from Bragg's law for the DFT cell and can differ from measured ones.

Main lines, most intense first (15° ≤ 2θ ≤ 90°):
d/Å	I/Imax
2.858	100
2.642	34
2.802	32
1.661	24
1.431	21
3.142	21

Cell and atoms:
a = 11.5212 Å, b = 6.6191 Å, c = 9.6132 Å
α = 90.00°, β = 113.98°, γ = 90.00°
Space group C2/m (No. 12)
Asymmetric unit:
Tb (0.1369, 0.0000, 0.4224) (multiplicity 4)
Tb (0.1866, 0.2470, 0.8095) (multiplicity 8)
Sm (0.0000, 0.5000, 0.5000) (multiplicity 2)
Sm (0.0684, 0.5000, 0.1956) (multiplicity 4)
Er (0.0000, 0.0000, 0.0000) (multiplicity 2)

***

No. 2
Starting from a structure optimized by DFT (PBE), the powder XRD pattern of Ca2AlH10ClO8 was computed for Cu Kα (λ = 1.5418 Å).
Peak positions follow from Bragg's law for the DFT cell and can differ from measured ones.

Main lines, most intense first (15° ≤ 2θ ≤ 90°):
d/Å	I/Imax
2.877	100
4.065	98
3.920	94
2.304	68
2.214	50
2.393	42

Cell and atoms:
a = 9.9382 Å, b = 5.8189 Å, c = 16.7589 Å
α = 90.00°, β = 104.01°, γ = 90.00°
Space group Cc (No. 9)
Asymmetric unit:
Ca (0.0000, 0.1871, 0.0000) (multiplicity 4)
Ca (0.1969, 0.3117, 0.5725) (multiplicity 4)
Al (0.3489, 0.1871, 0.0362) (multiplicity 4)
H (0.0015, 0.4518, 0.1534) (multiplicity 4)
H (0.1925, 0.4174, 0.9187) (multiplicity 4)
H (0.2096, 0.4186, 0.7538) (multiplicity 4)
H (0.2261, 0.1416, 0.1537) (multiplicity 4)
H (0.2341, 0.0868, 0.4187) (multiplicity 4)
H (0.3415, 0.2779, 0.3185) (multiplicity 4)
H (0.3465, 0.2756, 0.7554) (multiplicity 4)
H (0.4665, 0.4595, 0.1522) (multiplicity 4)
H (0.4749, 0.2207, 0.9204) (multiplicity 4)
H (0.4799, 0.4140, 0.3175) (multiplicity 4)
Cl (0.0956, 0.2501, 0.2864) (multiplicity 4)
O (0.0002, 0.4948, 0.5981) (multiplicity 4)
O (0.1973, 0.3702, 0.9749) (multiplicity 4)
O (0.2194, 0.0880, 0.0979) (multiplicity 4)
O (0.2496, 0.2989, 0.7252) (multiplicity 4)
O (0.2955, 0.0902, 0.4738) (multiplicity 4)
O (0.4022, 0.4657, 0.0984) (multiplicity 4)
O (0.4395, 0.2976, 0.3472) (multiplicity 4)
O (0.4782, 0.2864, 0.9742) (multiplicity 4)

***

No. 3
Starting from a structure optimized by DFT (PBE), the powder XRD pattern of TbPu3I8 was computed for Cu Kα (λ = 1.5418 Å).
Peak positions follow from Bragg's law for the DFT cell and can differ from measured ones.

Main lines, most intense first (15° ≤ 2θ ≤ 90°):
d/Å	I/Imax
3.153	100
2.151	34
3.680	31
2.314	28
2.322	14
2.075	14

Cell and atoms:
a = 14.9060 Å, b = 8.6020 Å, c = 9.3426 Å
α = 90.00°, β = 122.38°, γ = 90.00°
Space group C2/m (No. 12)
Asymmetric unit:
Tb (0.0000, 0.0000, 0.0000) (multiplicity 2)
Pu (0.0000, 0.5000, 0.0000) (multiplicity 2)
Pu (0.2500, 0.2500, 0.0000) (multiplicity 4)
I (0.0011, 0.2439, 0.2455) (multiplicity 8)
I (0.2449, 0.0000, 0.2456) (multiplicity 4)
I (0.2501, 0.0000, 0.7522) (multiplicity 4)

***

No. 4
Starting from a structure optimized by DFT (PBE), the powder XRD pattern of PrEuZr was computed for Cu Kα (λ = 1.5418 Å).
Peak positions follow from Bragg's law for the DFT cell and can differ from measured ones.

Main lines, most intense first (15° ≤ 2θ ≤ 90°):
d/Å	I/Imax
2.900	100
2.467	34
1.495	27
1.793	21
2.610	16
1.744	12

Cell and atoms:
a = 3.4882 Å, b = 3.4882 Å, c = 15.6618 Å
α = 90.00°, β = 90.00°, γ = 90.00°
Space group I4mm (No. 107)
Asymmetric unit:
Pr (0.0000, 0.0000, 0.0000) (multiplicity 2)
Eu (0.0000, 0.0000, 0.6937) (multiplicity 2)
Zr (0.0000, 0.0000, 0.3547) (multiplicity 2)

***

No. 5
Starting from a structure optimized by DFT (PBE), the powder XRD pattern of TbTm4Pb5 was computed for Cu Kα (λ = 1.5418 Å).
Peak positions follow from Bragg's law for the DFT cell and can differ from measured ones.

Main lines, most intense first (15° ≤ 2θ ≤ 90°):
d/Å	I/Imax
2.765	100
2.509	38
1.493	32
1.657	22
1.774	14
2.206	13

Cell and atoms:
a = 3.5488 Å, b = 3.5488 Å, c = 22.0604 Å
α = 90.00°, β = 90.00°, γ = 90.00°
Space group P4/mmm (No. 123)
Asymmetric unit:
Tb (0.0000, 0.0000, 0.0000) (multiplicity 1)
Tm (0.0000, 0.0000, 0.2012) (multiplicity 2)
Tm (0.0000, 0.0000, 0.4005) (multiplicity 2)
Pb (0.5000, 0.5000, 0.1022) (multiplicity 2)
Pb (0.5000, 0.5000, 0.3009) (multiplicity 2)
Pb (0.5000, 0.5000, 0.5000) (multiplicity 1)

***

No. 6
Starting from a structure optimized by DFT (PBE), the powder XRD pattern of TlSbPb2Se4 was computed for Cu Kα (λ = 1.5418 Å).
Peak positions follow from Bragg's law for the DFT cell and can differ from measured ones.

Main lines, most intense first (15° ≤ 2θ ≤ 90°):
d/Å	I/Imax
3.082	100
2.175	95
3.068	49
3.553	43
1.377	26
1.775	20

Cell and atoms:
a = 8.7038 Å, b = 8.7301 Å, c = 12.2735 Å
α = 90.00°, β = 90.00°, γ = 90.00°
Space group Imma (No. 74)
Asymmetric unit:
Tl (0.0000, 0.0000, 0.0000) (multiplicity 4)
Sb (0.2500, 0.2500, 0.2500) (multiplicity 4)
Pb (0.0000, 0.0000, 0.5000) (multiplicity 4)
Pb (0.2500, 0.2500, 0.7500) (multiplicity 4)
Se (0.0000, 0.0150, 0.2535) (multiplicity 8)
Se (0.2419, 0.2500, 0.4917) (multiplicity 8)

***

No. 7
Starting from a structure optimized by DFT (PBE), the powder XRD pattern of VTeAs was computed for Cu Kα (λ = 1.5418 Å).
Peak positions follow from Bragg's law for the DFT cell and can differ from measured ones.

Main lines, most intense first (15° ≤ 2θ ≤ 90°):
d/Å	I/Imax
2.674	100
2.698	45
2.173	39
1.709	26
3.081	24
2.720	24

Cell and atoms:
a = 13.4404 Å, b = 3.4872 Å, c = 5.8850 Å
α = 90.00°, β = 113.51°, γ = 90.00°
Space group C2/m (No. 12)
Asymmetric unit:
V (0.2494, 0.0000, 0.2312) (multiplicity 4)
Te (0.1076, 0.5000, 0.2901) (multiplicity 4)
As (0.1226, 0.0000, 0.7925) (multiplicity 4)

***

No. 8
Starting from a structure optimized by DFT (PBE), the powder XRD pattern of Ho5ErSc was computed for Cu Kα (λ = 1.5418 Å).
Peak positions follow from Bragg's law for the DFT cell and can differ from measured ones.

Main lines, most intense first (15° ≤ 2θ ≤ 90°):
d/Å	I/Imax
2.703	100
2.745	75
2.727	50
2.773	47
3.926	38
2.649	32

Cell and atoms:
a = 6.0257 Å, b = 6.0265 Å, c = 6.7325 Å
α = 99.31°, β = 99.35°, γ = 110.34°
Space group P-1 (No. 2)
Asymmetric unit:
Ho (0.0000, 0.0000, 0.0000) (multiplicity 1)
Ho (0.0304, 0.5901, 0.2706) (multiplicity 2)
Ho (0.4090, 0.9697, 0.7273) (multiplicity 2)
Er (0.5000, 0.5000, 0.0000) (multiplicity 1)
Sc (0.5000, 0.5000, 0.5000) (multiplicity 1)

***

No. 9
Starting from a structure optimized by DFT (PBE), the powder XRD pattern of Ba2TlCdPb6 was computed for Cu Kα (λ = 1.5418 Å).
Peak positions follow from Bragg's law for the DFT cell and can differ from measured ones.

Main lines, most intense first (15° ≤ 2θ ≤ 90°):
d/Å	I/Imax
2.806	100
2.789	77
2.892	74
1.727	48
4.728	47
2.672	39

Cell and atoms:
a = 6.9073 Å, b = 6.9073 Å, c = 56.7380 Å
α = 90.00°, β = 90.00°, γ = 120.00°
Space group R-3m (No. 166, hexagonal axes)
Asymmetric unit:
Ba (0.0000, 0.0000, 0.0990) (multiplicity 6)
Ba (0.0000, 0.0000, 0.3166) (multiplicity 6)
Tl (0.0000, 0.0000, 0.4204) (multiplicity 6)
Cd (0.0000, 0.0000, 0.0000) (multiplicity 3)
Cd (0.0000, 0.0000, 0.5000) (multiplicity 3)
Pb (0.0037, 0.5018, 0.2909) (multiplicity 18)
Pb (0.0202, 0.5101, 0.8708) (multiplicity 18)

***

No. 10
Starting from a structure optimized by DFT (PBE), the powder XRD pattern of Sc2TlS4 was computed for Cu Kα (λ = 1.5418 Å).
Peak positions follow from Bragg's law for the DFT cell and can differ from measured ones.

Main lines, most intense first (15° ≤ 2θ ≤ 90°):
d/Å	I/Imax
3.339	100
3.916	96
1.958	54
2.131	52
2.261	41
1.480	26

Cell and atoms:
a = 11.0685 Å, b = 11.0817 Å, c = 7.8283 Å
α = 90.00°, β = 134.97°, γ = 90.00°
Space group C2/c (No. 15)
Asymmetric unit:
Sc (0.0000, 0.0000, 0.0000) (multiplicity 4)
Sc (0.2500, 0.2500, 0.0000) (multiplicity 4)
Tl (0.0000, 0.3751, 0.2500) (multiplicity 4)
S (0.0001, 0.2340, 0.5316) (multiplicity 8)
S (0.2185, 0.0160, 0.9684) (multiplicity 8)

***

No. 11
Starting from a structure optimized by DFT (PBE), the powder XRD pattern of Ac6As5I was computed for Cu Kα (λ = 1.5418 Å).
Peak positions follow from Bragg's law for the DFT cell and can differ from measured ones.

Main lines, most intense first (15° ≤ 2θ ≤ 90°):
d/Å	I/Imax
3.238	100
2.286	38
2.293	37
3.742	27
1.871	20
1.447	17

Cell and atoms:
a = 7.9518 Å, b = 13.7395 Å, c = 7.9141 Å
α = 90.00°, β = 109.55°, γ = 90.00°
Space group C2/m (No. 12)
Asymmetric unit:
Ac (0.2330, 0.0000, 0.2612) (multiplicity 4)
Ac (0.2350, 0.1775, 0.7389) (multiplicity 8)
As (0.0000, 0.0000, 0.5000) (multiplicity 2)
As (0.0000, 0.1675, 0.0000) (multiplicity 4)
As (0.0000, 0.3396, 0.5000) (multiplicity 4)
I (0.0000, 0.5000, 0.0000) (multiplicity 2)